Pm5Pr3Mg: calculated powder XRD pattern (Cu Kα), based on a structure optimized by DFT (GGA-PBE).

Atomic structure:
```
Pm5Pr3Mg
1.0
5.738 -4.140 0.000
5.738 4.140 0.000
-0.281 0.000 13.767
Pm Pr Mg
10 6 2
Cartesian
-0.032 0.000 3.514
2.882 1.847 4.613
5.738 2.711 0.000
2.658 0.000 12.033
2.882 -1.847 4.613
8.314 1.847 9.154
8.537 0.000 1.734
5.738 -2.711 0.000
8.314 -1.847 9.154
11.227 0.000 10.253
1.407 0.000 7.013
2.927 0.000 1.633
5.738 0.000 0.000
5.598 0.000 6.884
8.269 0.000 12.135
9.789 0.000 6.755
5.446 0.000 10.279
5.749 0.000 3.489
```

The 10 most intense peaks (2θ from 15° to 90°), in order of rising 2θ:
| d [Å] | 2θ (°) | I/Imax |
| --- | --- | --- |
| 4.140 | 21.46 | 24 |
| 3.271 | 27.27 | 28 |
| 3.253 | 27.42 | 34 |
| 3.075 | 29.04 | 100 |
| 2.978 | 30.00 | 55 |
| 2.925 | 30.56 | 52 |
| 2.869 | 31.18 | 51 |
| 2.694 | 33.25 | 23 |
| 2.136 | 42.31 | 22 |
| 1.658 | 55.43 | 24 |